NaMnZnF6: calculated powder diffractogram (CuKα), based on DFT lattice parameters and positions (GGA+U).
Kinematic intensities with the Lorentz-polarization factor, no thermal factor.

Top 12 peaks for 5 to 70 degrees two-theta, sorted by position:
two_theta  d [Å]  I_rel  hkl
18.60  4.770  13  0 0 2
20.50  4.332  30  1 0 1
25.92  3.438  100  1 1 0
32.09  2.789  7  1 1 2
33.68  2.661  48  1 0 3
38.57  2.334  24  1 1 3
41.53  2.174  8  2 1 0
50.87  1.795  66  2 1 3
53.29  1.719  22  2 2 0
58.01  1.590  10  0 0 6
60.19  1.537  9  3 1 0
64.55  1.444  38  3 0 3

Structural model:
Unit cell a=4.8619 b=4.8619 c=9.5399 alpha=90.00 beta=90.00 gamma=90.00
Positions (direct):
1 Na 0.0000 0.0000 0.0000
2 Na 0.5000 0.5000 0.5000
3 Mn 0.0000 0.0000 0.3339
4 Mn 0.5000 0.5000 0.8339
5 Zn 0.0000 0.0000 0.6703
6 Zn 0.5000 0.5000 0.1703
7 F 0.1775 0.1775 0.4905
8 F 0.1989 0.1989 0.1885
9 F 0.2169 0.2169 0.8216
10 F 0.2831 0.7169 0.3216
11 F 0.3011 0.6989 0.6885
12 F 0.3225 0.6775 0.9905
13 F 0.6775 0.3225 0.9905
14 F 0.6989 0.3011 0.6885
15 F 0.7169 0.2831 0.3216
16 F 0.7831 0.7831 0.8216
17 F 0.8011 0.8011 0.1885
18 F 0.8225 0.8225 0.4905